Structure and computed powder XRD pattern of Cs2SiSe3 (the GGA-PBE geometry in Alexandria; Cu Kα).
Lines closer than 0.1° are merged.

Structure:
abc: 7.308 15.004 16.978
angles: 90.00 90.06 90.00
Space group C2/c (No. 15)
Symmetry-distinct sites (fractional):
Cs 0.250 0.108 0.067 (multiplicity 8)
Cs 0.250 0.184 0.642 (multiplicity 8)
Si 0.250 0.006 0.827 (multiplicity 8)
Se 0.000 0.054 0.250 (multiplicity 4)
Se 0.000 0.446 0.750 (multiplicity 4)
Se 0.250 0.085 0.432 (multiplicity 8)
Se 0.250 0.153 0.850 (multiplicity 8)

The 12 most intense peaks (5 to 70 degrees two-theta), low angle first:
2θ 23.97, I 19, (1 3 2)
2θ 24.09, I 16, (0 2 4)
2θ 24.33, I 100, (2 0 0)
2θ 28.86, I 70, (0 2 5)
2θ 31.49, I 22, (2 2 3)
2θ 32.33, I 30, (2 0 -4)
2θ 34.26, I 15, (2 4 0)
2θ 37.87, I 31, (2 4 -3)
2θ 38.12, I 36, (2 2 5)
2θ 49.92, I 14, (4 0 0)
2θ 56.26, I 17, (2 2 9)
2θ 58.69, I 21, (4 2 5)